NdTl2Br3Cl3: calculated powder X-ray diffraction pattern (Cu Kα, 1.54184 Å), based on a cell relaxed with PBE.
Peak positions follow from Bragg's law for the DFT cell and can differ from measured ones.

Atomic structure:
abc: 8.451 8.451 4.124
angles: 90.00 90.00 120.00
Atoms (fractional coordinates):
Nd (0.000, 0.000, 0.000)
Tl (0.333, 0.667, 0.500)
Tl (0.667, 0.333, 0.500)
Br (0.000, 0.600, 0.000)
Br (0.400, 0.400, 0.000)
Br (0.600, 0.000, 0.000)
Cl (0.000, 0.232, 0.500)
Cl (0.232, 0.000, 0.500)
Cl (0.768, 0.768, 0.500)

Largest 10 diffraction maxima, sorted by position, 15° ≤ 2θ ≤ 90°:
2θ (°)  I (rel.)
21.0  100
24.8  46
30.3  79
32.7  99
36.8  65
39.2  64
42.8  24
49.2  23
58.6  34
59.4  35

Sm2GaPt5: calculated powder X-ray diffraction pattern (Cu Kα, 1.54184 Å), based on a cell relaxed with PBE.
Peak positions follow from Bragg's law for the DFT cell and can differ from measured ones.

Atomic structure:
abc: 6.015 6.015 6.015
angles: 117.61 117.61 94.19
Atoms (fractional coordinates):
Sm (0.000, 0.500, 0.500)
Sm (0.500, 0.000, 0.500)
Ga (0.195, 0.195, 0.000)
Pt (0.510, 0.510, 0.000)
Pt (0.530, 0.530, 0.550)
Pt (0.530, 0.980, 0.000)
Pt (0.980, 0.530, 0.000)
Pt (0.980, 0.980, 0.450)

Largest 10 diffraction maxima, sorted by position, 15° ≤ 2θ ≤ 90°:
2θ (°)  I (rel.)
17.9  13
34.0  10
36.2  100
41.0  41
44.2  17
59.3  12
61.9  22
71.5  22
76.1  14
76.9  10

SrGe3Ru3: calculated powder X-ray diffraction pattern (Cu Kα, 1.54184 Å), based on a cell relaxed with PBE.
Peak positions follow from Bragg's law for the DFT cell and can differ from measured ones.

Atomic structure:
abc: 8.458 8.458 8.458
angles: 46.67 46.67 46.67
Atoms (fractional coordinates):
Sr (0.169, 0.169, 0.169)
Sr (0.831, 0.831, 0.831)
Ge (0.168, 0.695, 0.341)
Ge (0.305, 0.659, 0.832)
Ge (0.341, 0.168, 0.695)
Ge (0.659, 0.832, 0.305)
Ge (0.695, 0.341, 0.168)
Ge (0.832, 0.305, 0.659)
Ru (0.066, 0.543, 0.269)
Ru (0.269, 0.066, 0.543)
Ru (0.457, 0.731, 0.934)
Ru (0.543, 0.269, 0.066)
Ru (0.731, 0.934, 0.457)
Ru (0.934, 0.457, 0.731)

Largest 10 diffraction maxima, sorted by position, 15° ≤ 2θ ≤ 90°:
2θ (°)  I (rel.)
17.2  32
29.2  64
31.8  28
35.9  85
41.4  100
42.0  41
44.3  17
45.2  33
52.9  31
58.7  16